# 1
Computed powder XRD pattern
Compound: CsThAg
Radiation: Cu Kα X-rays
Structure: a DFT-relaxed cell (PBE, OQMD)
Kinematic intensities with the Lorentz-polarization factor, no thermal factor.

Top 8 peaks for 2θ from 10° to 90°, in order of rising 2θ:
index, two_theta, I_rel
1 1 1, 19.95, 22
2 0 0, 23.07, 32
2 2 0, 32.86, 100
3 1 1, 38.74, 13
4 0 0, 47.16, 18
4 2 0, 53.13, 14
4 2 2, 58.67, 38
6 2 0, 78.47, 16

Cell and atoms:
a b c (Å): 7.709 7.709 7.709
angles (deg): 90.00 90.00 90.00
Space group F-43m (No. 216)
Symmetry-distinct sites (fractional):
Cs (0.000, 0.000, 0.000)
Th (0.000, 0.000, 0.500)
Ag (0.250, 0.250, 0.750)

=====

# 2
Computed powder XRD pattern
Compound: CuAg9
Radiation: Cu Kα X-rays
Structure: a DFT-relaxed cell (PBE, OQMD)
Kinematic intensities with the Lorentz-polarization factor, no thermal factor.

Top 8 peaks for 2θ from 10° to 90°, in order of rising 2θ:
index, two_theta, I_rel
1 1 -2, 37.95, 100
2 1 1, 43.93, 33
2 0 -4, 44.44, 15
0 2 0, 63.87, 10
0 1 5, 64.27, 19
1 2 3, 76.76, 23
3 1 -6, 77.50, 11
2 2 -4, 81.14, 5

Cell and atoms:
a b c (Å): 7.116 2.914 8.659
angles (deg): 90.00 105.29 90.00
Space group P2/m (No. 10)
Symmetry-distinct sites (fractional):
Cu (0.000, 0.000, 0.000)
Ag (0.100, 0.500, 0.287)
Ag (0.196, 0.000, 0.597)
Ag (0.289, 0.500, 0.904)
Ag (0.405, 0.000, 0.198)
Ag (0.500, 0.500, 0.500)

=====

# 3
Computed powder XRD pattern
Compound: Cu3Ag5
Radiation: Cu Kα X-rays
Structure: a DFT-relaxed cell (PBE, OQMD)
Kinematic intensities with the Lorentz-polarization factor, no thermal factor.

Top 8 peaks for 2θ from 10° to 90°, in order of rising 2θ:
index, two_theta, I_rel
0 2 2, 39.12, 99
2 2 0, 39.36, 100
2 0 2, 45.09, 65
0 4 0, 46.70, 30
2 4 2, 66.93, 37
2 2 4, 79.02, 21
4 2 2, 79.48, 23
2 6 0, 81.67, 11

Cell and atoms:
a b c (Å): 5.663 7.780 5.713
angles (deg): 90.00 90.00 90.00
Space group Cmm2 (No. 35)
Symmetry-distinct sites (fractional):
Cu (0.000, 0.000, 0.000)
Cu (0.250, 0.250, 0.770)
Ag (0.000, 0.000, 0.533)
Ag (0.000, 0.500, 0.521)
Ag (0.000, 0.500, 0.999)
Ag (0.250, 0.250, 0.254)

=====

# 4
Computed powder XRD pattern
Compound: Cu4Ag5
Radiation: Cu Kα X-rays
Structure: a DFT-relaxed cell (PBE, OQMD)
Kinematic intensities with the Lorentz-polarization factor, no thermal factor.

Top 8 peaks for 2θ from 10° to 90°, in order of rising 2θ:
index, two_theta, I_rel
0 1 9, 39.47, 100
1 1 0, 39.97, 100
1 0 9, 44.54, 70
0 2 0, 49.37, 26
2 0 0, 65.51, 11
1 2 9, 68.66, 35
1 1 18, 78.28, 21
2 1 9, 79.25, 23

Cell and atoms:
a b c (Å): 2.850 3.692 26.148
angles (deg): 90.00 90.00 90.00
Space group Immm (No. 71)
Symmetry-distinct sites (fractional):
Cu (0.000, 0.000, 0.054)
Cu (0.000, 0.000, 0.274)
Ag (0.000, 0.000, 0.172)
Ag (0.000, 0.000, 0.391)
Ag (0.000, 0.000, 0.500)